No. 1
This entry pairs a crystal structure of Ba2SrI6 with its simulated X-ray diffraction stick pattern. Radiation: Cu Kα. Structure: a GGA-PBE-relaxed structure.
No peak broadening, texture or thermal motion is included.

Most intense lines, 10 to 80 degrees two-theta, by angle:
two_theta, I (rel.)
18.52, 24
21.42, 16
30.47, 100
43.63, 18
54.15, 36
71.97, 14

Crystal structure
a = 8.297 Å, b = 8.297 Å, c = 24.897 Å
α = 90.00°, β = 90.00°, γ = 90.00°
Sites, in units of the cell vectors:
Ba 0.000 0.000 0.166
Ba 0.000 0.000 0.834
Ba 0.000 0.500 0.335
Ba 0.000 0.500 0.665
Ba 0.500 0.000 0.335
Ba 0.500 0.000 0.665
Ba 0.500 0.500 0.166
Ba 0.500 0.500 0.834
Sr 0.000 0.000 0.500
Sr 0.000 0.500 0.000
Sr 0.500 0.000 0.000
Sr 0.500 0.500 0.500
I 0.226 0.230 0.581
I 0.230 0.774 0.419
I 0.236 0.262 0.081
I 0.238 0.264 0.919
I 0.247 0.752 0.750
I 0.248 0.247 0.250
I 0.252 0.747 0.250
I 0.253 0.252 0.750
I 0.262 0.764 0.919
I 0.264 0.762 0.081
I 0.270 0.274 0.419
I 0.274 0.730 0.581
I 0.726 0.270 0.581
I 0.730 0.726 0.419
I 0.736 0.238 0.081
I 0.738 0.236 0.919
I 0.747 0.748 0.750
I 0.748 0.253 0.250
I 0.752 0.753 0.250
I 0.753 0.248 0.750
I 0.762 0.736 0.919
I 0.764 0.738 0.081
I 0.770 0.226 0.419
I 0.774 0.770 0.581

---

No. 2
This entry pairs a crystal structure of CeNd4Zr3O14 with its simulated X-ray diffraction stick pattern. Radiation: Cu Kα. Structure: a GGA-PBE-relaxed structure.
No peak broadening, texture or thermal motion is included.

Most intense lines, 10 to 80 degrees two-theta, by angle:
two_theta, I (rel.)
28.33, 100
28.60, 34
32.91, 43
47.06, 34
47.41, 32
56.00, 30

Crystal structure
a = 7.671 Å, b = 7.671 Å, c = 7.671 Å
α = 60.46°, β = 60.46°, γ = 60.46°
Sites, in units of the cell vectors:
Ce 0.000 0.000 0.000
Nd 0.000 0.500 0.500
Nd 0.500 0.000 0.500
Nd 0.500 0.500 0.000
Nd 0.500 0.500 0.500
Zr 0.000 0.000 0.500
Zr 0.000 0.500 0.000
Zr 0.500 0.000 0.000
O 0.087 0.670 0.670
O 0.097 0.097 0.647
O 0.097 0.647 0.097
O 0.330 0.330 0.913
O 0.330 0.913 0.330
O 0.353 0.903 0.903
O 0.376 0.376 0.376
O 0.624 0.624 0.624
O 0.647 0.097 0.097
O 0.670 0.087 0.670
O 0.670 0.670 0.087
O 0.903 0.353 0.903
O 0.903 0.903 0.353
O 0.913 0.330 0.330

---

No. 3
This entry pairs a crystal structure of TmSi2Os2 with its simulated X-ray diffraction stick pattern. Radiation: Cu Kα. Structure: a GGA-PBE-relaxed structure.
No peak broadening, texture or thermal motion is included.

Most intense lines, 10 to 80 degrees two-theta, by angle:
two_theta, I (rel.)
18.58, 18
35.73, 100
37.67, 17
43.30, 36
58.72, 20
74.50, 24

Crystal structure
a = 4.179 Å, b = 4.179 Å, c = 9.552 Å
α = 90.00°, β = 90.00°, γ = 90.00°
Sites, in units of the cell vectors:
Tm 0.000 0.000 0.000
Tm 0.500 0.500 0.500
Si 0.000 0.000 0.372
Si 0.000 0.000 0.628
Si 0.500 0.500 0.128
Si 0.500 0.500 0.872
Os 0.000 0.500 0.250
Os 0.000 0.500 0.750
Os 0.500 0.000 0.250
Os 0.500 0.000 0.750